Simulated X-ray diffraction stick pattern of BaCa2C2O6F2 for Cu Kα X-rays, from a cell relaxed with GGA-PBE.

Atomic structure:
```
data_BaCa2C2O6F2
_chemical_formula_sum 'Ba2 Ca4 C4 O12 F4'
_cell_length_a 6.9860
_cell_length_b 6.9860
_cell_length_c 9.5598
_cell_angle_alpha 90.00
_cell_angle_beta 90.00
_cell_angle_gamma 50.31
_symmetry_space_group_name_H-M 'P 1'
_symmetry_Int_Tables_number 1
_symmetry_space_group_name_Hall 'P 1'
loop_
_atom_site_label
_atom_site_fract_x
_atom_site_fract_y
_atom_site_fract_z
Ba1 0.0012 0.9988 0.7500
Ba2 0.9988 0.0012 0.2500
Ca1 0.3536 0.3536 0.0000
Ca2 0.3536 0.3536 0.5000
Ca3 0.6464 0.6464 0.0000
Ca4 0.6464 0.6464 0.5000
C1 0.0980 0.4087 0.2500
C2 0.4087 0.0980 0.7500
C3 0.5913 0.9020 0.2500
C4 0.9020 0.5913 0.7500
O1 0.0425 0.3629 0.1322
O2 0.0425 0.3629 0.3678
O3 0.2223 0.4903 0.2500
O4 0.3629 0.0425 0.6322
O5 0.3629 0.0425 0.8678
O6 0.4903 0.2223 0.7500
O7 0.5097 0.7777 0.2500
O8 0.6371 0.9575 0.1322
O9 0.6371 0.9575 0.3678
O10 0.7777 0.5097 0.7500
O11 0.9575 0.6371 0.6322
O12 0.9575 0.6371 0.8678
F1 0.2649 0.7351 0.5061
F2 0.2649 0.7351 0.9939
F3 0.7351 0.2649 0.0061
F4 0.7351 0.2649 0.4939
```

The 10 most intense peaks (5° ≤ 2θ ≤ 70°), low angle first:
| 2θ/deg | Rel. int. |
| --- | --- |
| 16.49 | 21.0 |
| 24.93 | 100.0 |
| 25.92 | 60.4 |
| 34.00 | 18.5 |
| 37.64 | 16.5 |
| 38.43 | 45.2 |
| 38.69 | 15.8 |
| 46.03 | 34.0 |
| 46.27 | 37.8 |
| 50.42 | 16.2 |


Simulated X-ray diffraction stick pattern of BaCaCO3 for Cu Kα X-rays, from a cell relaxed with GGA-PBE.

Atomic structure:
```
data_BaCaCO3
_chemical_formula_sum 'Ba2 Ca2 C2 O6'
_cell_length_a 5.3059
_cell_length_b 5.3059
_cell_length_c 13.1383
_cell_angle_alpha 90.00
_cell_angle_beta 90.00
_cell_angle_gamma 120.00
_symmetry_space_group_name_H-M 'P 1'
_symmetry_Int_Tables_number 1
_symmetry_space_group_name_Hall 'P 1'
loop_
_atom_site_label
_atom_site_fract_x
_atom_site_fract_y
_atom_site_fract_z
Ba1 0.3333 0.6667 0.0000
Ba2 0.6667 0.3333 0.5000
Ca1 0.3333 0.6667 0.3063
Ca2 0.6667 0.3333 0.8063
C1 0.0000 0.0000 0.4230
C2 0.0000 0.0000 0.9230
O1 0.1411 0.2822 0.4245
O2 0.1411 0.8589 0.4245
O3 0.2822 0.1411 0.9245
O4 0.7178 0.8589 0.4245
O5 0.8589 0.1411 0.9245
O6 0.8589 0.7178 0.9245
```

The 10 most intense peaks (5° ≤ 2θ ≤ 70°), low angle first:
| 2θ/deg | Rel. int. |
| --- | --- |
| 13.48 | 100.0 |
| 20.48 | 87.1 |
| 28.15 | 84.2 |
| 33.54 | 21.4 |
| 33.79 | 36.4 |
| 36.53 | 20.4 |
| 39.83 | 28.8 |
| 43.87 | 24.8 |
| 44.53 | 28.7 |
| 57.05 | 21.6 |


Simulated X-ray diffraction stick pattern of BaNaCe2C4O12F for Cu Kα X-rays, from a cell relaxed with GGA-PBE.

Atomic structure:
```
data_BaNaCe2C4O12F
_chemical_formula_sum 'Ba2 Na2 Ce4 C8 O24 F2'
_cell_length_a 5.1483
_cell_length_b 5.1483
_cell_length_c 23.1875
_cell_angle_alpha 90.00
_cell_angle_beta 90.00
_cell_angle_gamma 120.00
_symmetry_space_group_name_H-M 'P 1'
_symmetry_Int_Tables_number 1
_symmetry_space_group_name_Hall 'P 1'
loop_
_atom_site_label
_atom_site_fract_x
_atom_site_fract_y
_atom_site_fract_z
Ba1 0.0000 0.0000 0.0000
Ba2 0.0000 0.0000 0.5000
Na1 0.3333 0.6667 0.2500
Na2 0.6667 0.3333 0.7500
Ce1 0.3333 0.6667 0.6469
Ce2 0.3333 0.6667 0.8531
Ce3 0.6667 0.3333 0.1469
Ce4 0.6667 0.3333 0.3531
C1 0.0000 0.0000 0.1774
C2 0.0000 0.0000 0.3226
C3 0.0000 0.0000 0.6774
C4 0.0000 0.0000 0.8226
C5 0.3333 0.6667 0.0670
C6 0.3333 0.6667 0.4330
C7 0.6667 0.3333 0.5670
C8 0.6667 0.3333 0.9330
O1 0.0422 0.5211 0.0657
O2 0.0422 0.5211 0.4343
O3 0.1452 0.2904 0.1761
O4 0.1452 0.2904 0.3239
O5 0.1452 0.8548 0.1761
O6 0.1452 0.8548 0.3239
O7 0.2904 0.1452 0.6761
O8 0.2904 0.1452 0.8239
O9 0.4789 0.5211 0.0657
O10 0.4789 0.5211 0.4343
O11 0.4789 0.9578 0.0657
O12 0.4789 0.9578 0.4343
O13 0.5211 0.0422 0.5657
O14 0.5211 0.0422 0.9343
O15 0.5211 0.4789 0.5657
O16 0.5211 0.4789 0.9343
O17 0.7096 0.8548 0.1761
O18 0.7096 0.8548 0.3239
O19 0.8548 0.1452 0.6761
O20 0.8548 0.1452 0.8239
O21 0.8548 0.7096 0.6761
O22 0.8548 0.7096 0.8239
O23 0.9578 0.4789 0.5657
O24 0.9578 0.4789 0.9343
F1 0.3333 0.6667 0.7500
F2 0.6667 0.3333 0.2500
```

The 10 most intense peaks (5° ≤ 2θ ≤ 70°), low angle first:
| 2θ/deg | Rel. int. |
| --- | --- |
| 20.28 | 72.4 |
| 21.35 | 41.1 |
| 23.02 | 44.3 |
| 25.20 | 86.2 |
| 27.76 | 100.0 |
| 34.85 | 77.3 |
| 41.24 | 33.2 |
| 42.18 | 41.3 |
| 44.02 | 41.3 |
| 45.13 | 37.0 |


Simulated X-ray diffraction stick pattern of Ba2CeC3O9F for Cu Kα X-rays, from a cell relaxed with GGA-PBE.

Atomic structure:
```
data_Ba2CeC3O9F
_chemical_formula_sum 'Ba4 Ce2 C6 O18 F2'
_cell_length_a 6.6990
_cell_length_b 5.1626
_cell_length_c 13.2988
_cell_angle_alpha 90.00
_cell_angle_beta 102.70
_cell_angle_gamma 90.00
_symmetry_space_group_name_H-M 'P 1'
_symmetry_Int_Tables_number 1
_symmetry_space_group_name_Hall 'P 1'
loop_
_atom_site_label
_atom_site_fract_x
_atom_site_fract_y
_atom_site_fract_z
Ba1 0.2146 0.2500 0.4250
Ba2 0.2734 0.2500 0.0835
Ba3 0.7266 0.7500 0.9165
Ba4 0.7854 0.7500 0.5750
Ce1 0.2282 0.2500 0.7392
Ce2 0.7718 0.7500 0.2608
C1 0.2146 0.7500 0.2270
C2 0.2535 0.7500 0.9261
C3 0.3319 0.7500 0.6288
C4 0.6681 0.2500 0.3712
C5 0.7465 0.2500 0.0739
C6 0.7854 0.2500 0.7730
O1 0.1210 0.5341 0.2372
O2 0.1210 0.9659 0.2372
O3 0.1356 0.7500 0.9906
O4 0.1924 0.7500 0.6840
O5 0.3201 0.5316 0.8964
O6 0.3201 0.9684 0.8964
O7 0.3911 0.7500 0.2026
O8 0.4012 0.5306 0.6044
O9 0.4012 0.9694 0.6044
O10 0.5988 0.0306 0.3956
O11 0.5988 0.4694 0.3956
O12 0.6089 0.2500 0.7974
O13 0.6799 0.0316 0.1036
O14 0.6799 0.4684 0.1036
O15 0.8076 0.2500 0.3160
O16 0.8644 0.2500 0.0094
O17 0.8790 0.0341 0.7628
O18 0.8790 0.4659 0.7628
F1 0.0142 0.7500 0.4256
F2 0.9858 0.2500 0.5744
```

The 10 most intense peaks (5° ≤ 2θ ≤ 70°), low angle first:
| 2θ/deg | Rel. int. |
| --- | --- |
| 21.96 | 100.0 |
| 26.89 | 87.0 |
| 27.11 | 17.8 |
| 27.29 | 36.7 |
| 34.75 | 19.8 |
| 35.16 | 33.1 |
| 41.52 | 29.1 |
| 41.97 | 26.3 |
| 44.62 | 18.3 |
| 44.74 | 34.3 |